[1]
Structure and theoretical X-ray powder pattern of Mn3GaPd6 (the PBE geometry in Alexandria; Cu Kα X-rays).
No peak broadening, texture or thermal motion is included.

Peak list (6 most intense, 15° ≤ 2θ ≤ 90°, by angle)
- 39.39°, I 23
- 39.92°, I 32
- 41.75°, I 100
- 57.33°, I 15
- 73.04°, I 9
- 73.75°, I 18

Lattice parameters (Å, degrees): 7.4288 4.5165 9.6048 90.00 110.29 90.00
Element x y z (fractional)
Mn: 0.0355 0.2500 0.3817
Mn: 0.1288 0.7500 0.2110
Mn: 0.2779 0.2500 0.9858
Mn: 0.7221 0.7500 0.0142
Mn: 0.8712 0.2500 0.7890
Mn: 0.9645 0.7500 0.6183
Ga: 0.4509 0.2500 0.5915
Ga: 0.5491 0.7500 0.4085
Pd: 0.0370 0.7500 0.9182
Pd: 0.1580 0.2500 0.6781
Pd: 0.2540 0.7500 0.5049
Pd: 0.3467 0.7500 0.8223
Pd: 0.3500 0.2500 0.3008
Pd: 0.4283 0.7500 0.1291
Pd: 0.5717 0.2500 0.8709
Pd: 0.6500 0.7500 0.6992
Pd: 0.6533 0.2500 0.1777
Pd: 0.7460 0.2500 0.4951
Pd: 0.8420 0.7500 0.3219
Pd: 0.9630 0.2500 0.0818

[2]
Structure and theoretical X-ray powder pattern of Fe3H3Rh2 (the PBE geometry in Alexandria; Cu Kα X-rays).
No peak broadening, texture or thermal motion is included.

Peak list (6 most intense, 15° ≤ 2θ ≤ 90°, by angle)
- 38.48°, I 66
- 38.71°, I 85
- 39.97°, I 100
- 41.07°, I 32
- 41.29°, I 32
- 46.61°, I 75

Lattice parameters (Å, degrees): 4.5839 4.5839 9.3319 90.71 90.71 50.30
Element x y z (fractional)
Fe: 0.0000 0.0000 0.0000
Fe: 0.0212 0.0212 0.2412
Fe: 0.2221 0.2221 0.6283
Fe: 0.5981 0.5981 0.7984
Fe: 0.6671 0.6671 0.1184
Fe: 0.9345 0.9345 0.4894
H: 0.1162 0.1162 0.8094
H: 0.1572 0.1572 0.4211
H: 0.1991 0.1991 0.1129
H: 0.7204 0.7204 0.6113
H: 0.7793 0.7793 0.9420
H: 0.8046 0.8046 0.2968
Rh: 0.3021 0.3021 0.9342
Rh: 0.3320 0.3320 0.2848
Rh: 0.6291 0.6291 0.4270
Rh: 0.9037 0.9037 0.7421

[3]
Structure and theoretical X-ray powder pattern of Pr5CdCo2 (the PBE geometry in Alexandria; Cu Kα X-rays).
No peak broadening, texture or thermal motion is included.

Peak list (6 most intense, 15° ≤ 2θ ≤ 90°, by angle)
- 25.85°, I 35
- 30.38°, I 32
- 31.78°, I 100
- 34.39°, I 45
- 35.67°, I 65
- 53.09°, I 34

Lattice parameters (Å, degrees): 8.9068 8.9068 8.9068 126.92 126.92 78.38
Element x y z (fractional)
Pr: 0.0000 0.0000 0.0000
Pr: 0.0299 0.5299 0.8224
Pr: 0.2075 0.0299 0.5000
Pr: 0.2925 0.7925 0.8224
Pr: 0.4701 0.2925 0.5000
Pr: 0.5000 0.5000 0.0000
Pr: 0.5299 0.7075 0.5000
Pr: 0.7075 0.2075 0.1776
Pr: 0.7925 0.9701 0.5000
Pr: 0.9701 0.4701 0.1776
Cd: 0.2500 0.2500 0.0000
Cd: 0.7500 0.7500 0.0000
Co: 0.1305 0.3695 0.5000
Co: 0.3695 0.8695 0.2391
Co: 0.6305 0.1305 0.7609
Co: 0.8695 0.6305 0.5000

[4]
Structure and theoretical X-ray powder pattern of K3Zn2Te4 (the PBE geometry in Alexandria; Cu Kα X-rays).
No peak broadening, texture or thermal motion is included.

Peak list (6 most intense, 15° ≤ 2θ ≤ 90°, by angle)
- 22.03°, I 48
- 24.45°, I 47
- 29.30°, I 100
- 31.19°, I 53
- 38.97°, I 49
- 39.16°, I 65

Lattice parameters (Å, degrees): 4.6226 8.2774 9.4294 113.57 104.16 90.02
Element x y z (fractional)
K: 0.0000 0.0000 0.0000
K: 0.1304 0.5555 0.2612
K: 0.8696 0.4445 0.7388
Zn: 0.3283 0.0408 0.6581
Zn: 0.6717 0.9592 0.3419
Te: 0.2121 0.1684 0.4232
Te: 0.4792 0.2841 0.9583
Te: 0.5208 0.7159 0.0417
Te: 0.7879 0.8316 0.5768

[5]
Structure and theoretical X-ray powder pattern of NaPu3O6 (the PBE geometry in Alexandria; Cu Kα X-rays).
No peak broadening, texture or thermal motion is included.

Peak list (6 most intense, 15° ≤ 2θ ≤ 90°, by angle)
- 18.30°, I 25
- 23.85°, I 39
- 29.24°, I 100
- 30.22°, I 34
- 32.43°, I 47
- 49.77°, I 27

Lattice parameters (Å, degrees): 6.7285 6.7285 6.7285 92.21 92.21 92.21
Element x y z (fractional)
Na: 0.0000 0.0000 0.0000
Na: 0.5000 0.5000 0.5000
Pu: 0.0608 0.7540 0.5760
Pu: 0.2460 0.4240 0.9392
Pu: 0.4240 0.9392 0.2460
Pu: 0.5760 0.0608 0.7540
Pu: 0.7540 0.5760 0.0608
Pu: 0.9392 0.2460 0.4240
O: 0.0297 0.6734 0.8959
O: 0.1041 0.9703 0.3266
O: 0.1691 0.4263 0.6020
O: 0.3266 0.1041 0.9703
O: 0.3980 0.8309 0.5737
O: 0.4263 0.6020 0.1691
O: 0.5737 0.3980 0.8309
O: 0.6020 0.1691 0.4263
O: 0.6734 0.8959 0.0297
O: 0.8309 0.5737 0.3980
O: 0.8959 0.0297 0.6734
O: 0.9703 0.3266 0.1041

[6]
Structure and theoretical X-ray powder pattern of Tb2Nd2Sc7 (the PBE geometry in Alexandria; Cu Kα X-rays).
No peak broadening, texture or thermal motion is included.

Peak list (6 most intense, 15° ≤ 2θ ≤ 90°, by angle)
- 16.70°, I 47
- 24.44°, I 48
- 25.22°, I 47
- 32.91°, I 45
- 33.73°, I 100
- 35.44°, I 38

Lattice parameters (Å, degrees): 7.6293 7.6293 5.7908 106.25 106.25 91.04
Element x y z (fractional)
Tb: 0.2229 0.7771 0.0000
Tb: 0.7771 0.2229 0.0000
Nd: 0.2413 0.2413 0.0896
Nd: 0.7587 0.7587 0.9104
Sc: 0.0000 0.0000 0.5000
Sc: 0.0642 0.6005 0.3473
Sc: 0.3995 0.9358 0.6527
Sc: 0.4020 0.4020 0.6915
Sc: 0.5980 0.5980 0.3085
Sc: 0.6005 0.0642 0.3473
Sc: 0.9358 0.3995 0.6527

[7]
Structure and theoretical X-ray powder pattern of Rb2Zr4S7 (the PBE geometry in Alexandria; Cu Kα X-rays).
No peak broadening, texture or thermal motion is included.

Peak list (6 most intense, 15° ≤ 2θ ≤ 90°, by angle)
- 25.79°, I 82
- 27.15°, I 100
- 34.21°, I 46
- 37.79°, I 45
- 47.98°, I 46
- 50.33°, I 40

Lattice parameters (Å, degrees): 6.5682 6.5682 8.6981 90.00 90.00 120.00
Element x y z (fractional)
Rb: 0.3333 0.6667 0.0000
Rb: 0.6667 0.3333 0.0000
Zr: 0.0000 0.0000 0.2884
Zr: 0.0000 0.0000 0.7116
Zr: 0.3333 0.6667 0.5000
Zr: 0.6667 0.3333 0.5000
S: 0.0000 0.0000 0.0000
S: 0.0000 0.3751 0.3127
S: 0.0000 0.6249 0.6873
S: 0.3751 0.0000 0.3127
S: 0.3751 0.3751 0.6873
S: 0.6249 0.0000 0.6873
S: 0.6249 0.6249 0.3127

[8]
Structure and theoretical X-ray powder pattern of BiAsS3 (the PBE geometry in Alexandria; Cu Kα X-rays).
No peak broadening, texture or thermal motion is included.

Peak list (6 most intense, 15° ≤ 2θ ≤ 90°, by angle)
- 17.64°, I 22
- 22.42°, I 26
- 25.14°, I 100
- 35.71°, I 23
- 41.05°, I 27
- 47.13°, I 28

Lattice parameters (Å, degrees): 7.9312 6.5029 9.9792 90.00 90.00 90.00
Element x y z (fractional)
Bi: 0.0392 0.0045 0.0000
Bi: 0.4608 0.5045 0.5000
Bi: 0.5392 0.4955 0.0000
Bi: 0.9608 0.9955 0.5000
As: 0.0250 0.5114 0.7707
As: 0.4750 0.0114 0.2707
As: 0.5250 0.9886 0.7707
As: 0.9750 0.4886 0.2707
S: 0.1204 0.1779 0.7596
S: 0.1331 0.6156 0.5654
S: 0.2192 0.6633 0.9084
S: 0.2808 0.1633 0.4084
S: 0.3669 0.1156 0.0654
S: 0.3796 0.6779 0.2596
S: 0.6204 0.3221 0.7596
S: 0.6331 0.8844 0.5654
S: 0.7192 0.8367 0.9084
S: 0.7808 0.3367 0.4084
S: 0.8669 0.3844 0.0654
S: 0.8796 0.8221 0.2596